Entry 1:
Calculated X-ray diffraction stick pattern of SrLa3Cr4O12 for Cu Kα (weighted mean of Kα1 and Kα2), from a cell relaxed with GGA+U.
Peak positions follow from Bragg's law for the DFT cell and can differ from measured ones.

Structural model:
a b c (Å): 5.5124 5.5780 7.8714
angles (deg): 90.00 90.97 90.00
Space group P2 (No. 3)
One atom of each set of equivalent atoms:
1 Sr 0.0000 0.0000 0.0000 (multiplicity 1)
2 La 0.0000 0.0010 0.5000 (multiplicity 1)
3 La 0.5000 0.5013 0.0000 (multiplicity 1)
4 La 0.5000 0.5059 0.5000 (multiplicity 1)
5 Cr 0.9998 0.5024 0.2487 (multiplicity 2)
6 Cr 0.5004 0.0025 0.2493 (multiplicity 2)
7 O 0.0000 0.4490 0.0000 (multiplicity 1)
8 O 0.0000 0.5656 0.5000 (multiplicity 1)
9 O 0.2202 0.2224 0.2866 (multiplicity 2)
10 O 0.2224 0.7786 0.7736 (multiplicity 2)
11 O 0.2824 0.2837 0.7148 (multiplicity 2)
12 O 0.2887 0.7132 0.2230 (multiplicity 2)
13 O 0.5000 0.0686 0.0000 (multiplicity 1)
14 O 0.5000 0.9409 0.5000 (multiplicity 1)

Largest 12 diffraction maxima, most intense first, 2θ from 5° to 70°:
(2 0 0), d = 2.759 Å, 32.45 deg, intensity 100; (0 2 0), d = 2.793 Å, 32.05 deg, intensity 97; (2 2 0), d = 1.960 Å, 46.32 deg, intensity 41; (1 1 0), d = 3.925 Å, 22.65 deg, intensity 27; (3 1 -2), d = 1.605 Å, 57.42 deg, intensity 27; (0 2 2), d = 2.275 Å, 39.61 deg, intensity 26; (0 0 4), d = 1.968 Å, 46.13 deg, intensity 21; (1 3 -2), d = 1.611 Å, 57.17 deg, intensity 15; (0 2 4), d = 1.608 Å, 57.31 deg, intensity 13; (3 1 2), d = 1.586 Å, 58.18 deg, intensity 12; (2 2 4), d = 1.380 Å, 67.90 deg, intensity 12; (2 2 -4), d = 1.397 Å, 66.98 deg, intensity 11

=====

Entry 2:
Calculated X-ray diffraction stick pattern of SrLa3Cr4O12 for Cu Kα (weighted mean of Kα1 and Kα2), from a cell relaxed with GGA+U.
Peak positions follow from Bragg's law for the DFT cell and can differ from measured ones.

Structural model:
a b c (Å): 5.5343 5.5891 7.8232
angles (deg): 90.07 91.02 90.65
Space group P1 (No. 1)
One atom of each set of equivalent atoms:
1 Sr 0.0000 0.0000 0.0000 (multiplicity 1)
2 La 0.4995 0.5064 0.4953 (multiplicity 1)
3 La 0.5015 0.5017 0.0009 (multiplicity 1)
4 La 0.9992 0.0041 0.4935 (multiplicity 1)
5 Cr 0.0008 0.5040 0.7504 (multiplicity 1)
6 Cr 0.4998 0.0023 0.2470 (multiplicity 1)
7 Cr 0.4999 0.0034 0.7485 (multiplicity 1)
8 Cr 0.9992 0.5032 0.2479 (multiplicity 1)
9 O 0.0011 0.4509 0.9896 (multiplicity 1)
10 O 0.2169 0.7717 0.7718 (multiplicity 1)
11 O 0.2200 0.2246 0.2852 (multiplicity 1)
12 O 0.2794 0.2863 0.7140 (multiplicity 1)
13 O 0.2856 0.7142 0.2198 (multiplicity 1)
14 O 0.4988 0.9411 0.4992 (multiplicity 1)
15 O 0.5004 0.0699 0.9970 (multiplicity 1)
16 O 0.7148 0.7140 0.7754 (multiplicity 1)
17 O 0.7185 0.2852 0.2817 (multiplicity 1)
18 O 0.7772 0.7789 0.2254 (multiplicity 1)
19 O 0.7844 0.2326 0.7102 (multiplicity 1)
20 O 0.9984 0.5645 0.5037 (multiplicity 1)

Largest 12 diffraction maxima, most intense first, 2θ from 5° to 70°:
(2 0 0), d = 2.766 Å, 32.37 deg, intensity 100; (0 2 0), d = 2.796 Å, 32.01 deg, intensity 97; (2 2 0), d = 1.955 Å, 46.44 deg, intensity 61; (1 1 2), d = 2.746 Å, 32.60 deg, intensity 49; (1 1 -2), d = 2.784 Å, 32.15 deg, intensity 48; (2 -2 0), d = 1.977 Å, 45.89 deg, intensity 32; (1 1 0), d = 3.910 Å, 22.74 deg, intensity 26; (0 2 -2), d = 2.276 Å, 39.59 deg, intensity 26; (2 0 -4), d = 1.610 Å, 57.23 deg, intensity 23; (-3 1 2), d = 1.612 Å, 57.14 deg, intensity 20; (0 2 -4), d = 1.604 Å, 57.46 deg, intensity 20; (1 3 2), d = 1.601 Å, 57.58 deg, intensity 20